This entry pairs a crystal structure of CaEuInSbO6 with its calculated XRD peak list. Radiation: CuKα. Structure: a structure optimized by DFT (PBE).

Main lines, by angle (10° ≤ 2θ ≤ 80°):
| Position (°2θ) | I/Imax |
| --- | --- |
| 18.58 | 16 |
| 30.56 | 100 |
| 43.77 | 32 |
| 54.33 | 39 |
| 63.63 | 19 |
| 72.22 | 17 |

Structure:
Cell: 8.273 8.273 8.273 Å, 90.00 90.00 90.00°
Space group F-43m (No. 216)
Unique sites:
Ca: 0.000 0.000 0.000
Eu: 0.000 0.000 0.500
In: 0.250 0.250 0.750
Sb: 0.250 0.250 0.250
O: 0.009 0.250 0.250